(1)
This entry pairs a crystal structure of Mg14TiCoO16 with its computed powder diffractogram. Radiation: copper Kα. Structure: a DFT-relaxed cell (PBE+U, the Materials Project).
Neutral-atom scattering factors, no anomalous dispersion.

Cell and atoms:
Unit cell a=4.2602 b=8.5497 c=8.5661 alpha=90.00 beta=90.00 gamma=90.00
Sites, in units of the cell vectors:
1 Mg 0.0000 0.0000 0.0000
2 Mg 0.0000 0.2430 0.2496
3 Mg 0.0000 0.2430 0.7504
4 Mg 0.0000 0.5000 0.0000
5 Mg 0.0000 0.7570 0.2496
6 Mg 0.0000 0.7570 0.7504
7 Mg 0.5000 0.0000 0.2538
8 Mg 0.5000 0.0000 0.7462
9 Mg 0.5000 0.2401 0.5000
10 Mg 0.5000 0.2478 0.0000
11 Mg 0.5000 0.5000 0.2474
12 Mg 0.5000 0.5000 0.7526
13 Mg 0.5000 0.7522 0.0000
14 Mg 0.5000 0.7599 0.5000
15 Ti 0.0000 0.5000 0.5000
16 Co 0.0000 0.0000 0.5000
17 O 0.0000 0.0000 0.2376
18 O 0.0000 0.0000 0.7624
19 O 0.0000 0.2539 0.0000
20 O 0.0000 0.2661 0.5000
21 O 0.0000 0.5000 0.2521
22 O 0.0000 0.5000 0.7479
23 O 0.0000 0.7339 0.5000
24 O 0.0000 0.7461 0.0000
25 O 0.5000 0.0000 0.0000
26 O 0.5000 0.0000 0.5000
27 O 0.5000 0.2513 0.2515
28 O 0.5000 0.2513 0.7485
29 O 0.5000 0.5000 0.0000
30 O 0.5000 0.5000 0.5000
31 O 0.5000 0.7487 0.2515
32 O 0.5000 0.7487 0.7485

Main lines, in order of rising 2θ (10° ≤ 2θ ≤ 90°):
2θ 10.3, d = 8.565 Å, rel. 11
2θ 23.3, d = 3.820 Å, rel. 6
2θ 29.6, d = 3.021 Å, rel. 6
2θ 36.4, d = 2.467 Å, rel. 25
2θ 42.2, d = 2.139 Å, rel. 100
2θ 42.4, d = 2.130 Å, rel. 50
2θ 61.3, d = 1.513 Å, rel. 28
2θ 61.4, d = 1.510 Å, rel. 56
2θ 73.4, d = 1.291 Å, rel. 5
2θ 77.4, d = 1.233 Å, rel. 25

***

(2)
This entry pairs a crystal structure of BaMn4O7 with its computed powder diffractogram. Radiation: copper Kα. Structure: a DFT-relaxed cell (PBE+U, the Materials Project).
Neutral-atom scattering factors, no anomalous dispersion.

Cell and atoms:
Unit cell a=6.6152 b=6.6152 c=10.8281 alpha=90.00 beta=90.00 gamma=120.00
Sites, in units of the cell vectors:
1 Ba 0.3333 0.6667 0.0000
2 Ba 0.6667 0.3333 0.5000
3 Mn 0.0000 0.0000 0.4836
4 Mn 0.0000 0.0000 0.9836
5 Mn 0.1694 0.3388 0.7275
6 Mn 0.1694 0.8306 0.7275
7 Mn 0.3388 0.1694 0.2275
8 Mn 0.6612 0.8306 0.7275
9 Mn 0.8306 0.1694 0.2275
10 Mn 0.8306 0.6612 0.2275
11 O 0.0000 0.0000 0.2977
12 O 0.0000 0.0000 0.7977
13 O 0.0482 0.5241 0.7923
14 O 0.1450 0.2900 0.5491
15 O 0.1450 0.8550 0.5491
16 O 0.2900 0.1450 0.0491
17 O 0.4759 0.5241 0.7923
18 O 0.4759 0.9518 0.7923
19 O 0.5241 0.0482 0.2923
20 O 0.5241 0.4759 0.2923
21 O 0.7100 0.8550 0.5491
22 O 0.8550 0.1450 0.0491
23 O 0.8550 0.7100 0.0491
24 O 0.9518 0.4759 0.2923

Main lines, in order of rising 2θ (10° ≤ 2θ ≤ 90°):
2θ 17.5, d = 5.064 Å, rel. 100
2θ 27.0, d = 3.308 Å, rel. 18
2θ 29.2, d = 3.054 Å, rel. 34
2θ 31.7, d = 2.823 Å, rel. 88
2θ 32.3, d = 2.769 Å, rel. 86
2θ 33.1, d = 2.707 Å, rel. 34
2θ 50.7, d = 1.801 Å, rel. 23
2θ 53.0, d = 1.727 Å, rel. 24
2θ 55.6, d = 1.654 Å, rel. 30
2θ 66.2, d = 1.411 Å, rel. 23

***

(3)
This entry pairs a crystal structure of NaNiO2 with its computed powder diffractogram. Radiation: copper Kα. Structure: a DFT-relaxed cell (PBE+U, the Materials Project).
Neutral-atom scattering factors, no anomalous dispersion.

Cell and atoms:
Unit cell a=3.0531 b=3.0531 c=10.6655 alpha=90.00 beta=90.00 gamma=124.17
Sites, in units of the cell vectors:
1 Na 0.1848 0.8152 0.7500
2 Na 0.8152 0.1848 0.2500
3 Ni 0.5000 0.5000 0.0000
4 Ni 0.5000 0.5000 0.5000
5 O 0.1391 0.8609 0.0980
6 O 0.1391 0.8609 0.4020
7 O 0.8609 0.1391 0.5980
8 O 0.8609 0.1391 0.9020

Main lines, in order of rising 2θ (10° ≤ 2θ ≤ 90°):
2θ 16.6, d = 5.333 Å, rel. 100
2θ 33.6, d = 2.666 Å, rel. 25
2θ 37.4, d = 2.407 Å, rel. 59
2θ 39.5, d = 2.283 Å, rel. 73
2θ 42.0, d = 2.149 Å, rel. 15
2θ 44.0, d = 2.059 Å, rel. 23
2θ 49.7, d = 1.834 Å, rel. 39
2θ 60.9, d = 1.522 Å, rel. 25
2θ 62.6, d = 1.484 Å, rel. 13
2θ 64.1, d = 1.454 Å, rel. 27

***

(4)
This entry pairs a crystal structure of MgMn8O13F3 with its computed powder diffractogram. Radiation: copper Kα. Structure: a DFT-relaxed cell (PBE+U, the Materials Project).
Neutral-atom scattering factors, no anomalous dispersion.

Cell and atoms:
Unit cell a=5.8650 b=6.6376 c=7.0404 alpha=93.85 beta=95.09 gamma=90.10
Sites, in units of the cell vectors:
1 Mg 0.0000 0.0000 0.0000
2 Mn 0.2398 0.5000 0.9838
3 Mn 0.2659 0.0238 0.4807
4 Mn 0.4481 0.0153 0.9760
5 Mn 0.4714 0.4998 0.4767
6 Mn 0.7266 0.7548 0.2482
7 Mn 0.7443 0.2533 0.7176
8 Mn 0.9484 0.2981 0.2801
9 Mn 0.9582 0.7294 0.6986
10 O 0.2034 0.7770 0.9148
11 O 0.2287 0.2223 0.0390
12 O 0.2303 0.3054 0.4472
13 O 0.4889 0.0585 0.7063
14 O 0.4893 0.5481 0.2032
15 O 0.4916 0.9561 0.2395
16 O 0.5215 0.4619 0.7404
17 O 0.6990 0.2994 0.4577
18 O 0.7053 0.7103 0.5039
19 O 0.9623 0.0270 0.7059
20 O 0.9646 0.5596 0.2060
21 O 0.9841 0.9958 0.2872
22 O 0.9894 0.4561 0.7724
23 F 0.2443 0.7251 0.5166
24 F 0.7260 0.8127 0.9684
25 F 0.7522 0.2142 0.0084

Main lines, in order of rising 2θ (10° ≤ 2θ ≤ 90°):
2θ 23.7, d = 3.761 Å, rel. 75
2θ 25.2, d = 3.531 Å, rel. 68
2θ 28.6, d = 3.126 Å, rel. 68
2θ 30.9, d = 2.890 Å, rel. 100
2θ 31.2, d = 2.871 Å, rel. 48
2θ 34.7, d = 2.585 Å, rel. 49
2θ 36.1, d = 2.490 Å, rel. 29
2θ 36.5, d = 2.459 Å, rel. 30
2θ 52.3, d = 1.749 Å, rel. 35
2θ 53.5, d = 1.714 Å, rel. 30

***

(5)
This entry pairs a crystal structure of CaV2P2O9 with its computed powder diffractogram. Radiation: copper Kα. Structure: a DFT-relaxed cell (PBE+U, the Materials Project).
Neutral-atom scattering factors, no anomalous dispersion.

Cell and atoms:
Unit cell a=14.3639 b=6.5440 c=7.4730 alpha=90.00 beta=90.00 gamma=90.00
Sites, in units of the cell vectors:
1 Ca 0.2214 0.2500 0.1116
2 Ca 0.2786 0.7500 0.6116
3 Ca 0.7214 0.2500 0.3884
4 Ca 0.7786 0.7500 0.8884
5 V 0.0000 0.0000 0.0000
6 V 0.0000 0.5000 0.0000
7 V 0.1188 0.2500 0.6484
8 V 0.3812 0.7500 0.1484
9 V 0.5000 0.0000 0.5000
10 V 0.5000 0.5000 0.5000
11 V 0.6188 0.2500 0.8516
12 V 0.8812 0.7500 0.3516
13 P 0.0671 0.7500 0.6406
14 P 0.1919 0.7500 0.1111
15 P 0.3081 0.2500 0.6111
16 P 0.4329 0.2500 0.1406
17 P 0.5671 0.7500 0.8594
18 P 0.6919 0.7500 0.3889
19 P 0.8081 0.2500 0.8889
20 P 0.9329 0.2500 0.3594
21 O 0.0084 0.2500 0.5014
22 O 0.0177 0.7500 0.8271
23 O 0.0543 0.2500 0.8757
24 O 0.1303 0.5543 0.1053
25 O 0.1303 0.9457 0.1053
26 O 0.1331 0.5646 0.6305
27 O 0.1331 0.9354 0.6305
28 O 0.2343 0.2500 0.4588
29 O 0.2483 0.2500 0.7846
30 O 0.2517 0.7500 0.2846
31 O 0.2657 0.7500 0.9588
32 O 0.3669 0.0646 0.1305
33 O 0.3669 0.4354 0.1305
34 O 0.3697 0.0543 0.6053
35 O 0.3697 0.4457 0.6053
36 O 0.4457 0.7500 0.3757
37 O 0.4823 0.2500 0.3271
38 O 0.4916 0.7500 0.0014
39 O 0.5084 0.2500 0.9986
40 O 0.5177 0.7500 0.6729
41 O 0.5543 0.2500 0.6243
42 O 0.6303 0.5543 0.3947
43 O 0.6303 0.9457 0.3947
44 O 0.6331 0.5646 0.8695
45 O 0.6331 0.9354 0.8695
46 O 0.7343 0.2500 0.0412
47 O 0.7483 0.2500 0.7154
48 O 0.7517 0.7500 0.2154
49 O 0.7657 0.7500 0.5412
50 O 0.8669 0.0646 0.3695
51 O 0.8669 0.4354 0.3695
52 O 0.8697 0.0543 0.8947
53 O 0.8697 0.4457 0.8947
54 O 0.9457 0.7500 0.1243
55 O 0.9823 0.2500 0.1729
56 O 0.9916 0.7500 0.4986

Main lines, in order of rising 2θ (10° ≤ 2θ ≤ 90°):
2θ 13.4, d = 6.629 Å, rel. 17
2θ 17.1, d = 5.178 Å, rel. 31
2θ 24.6, d = 3.616 Å, rel. 100
2θ 27.3, d = 3.272 Å, rel. 37
2θ 27.6, d = 3.237 Å, rel. 27
2θ 30.5, d = 2.934 Å, rel. 34
2θ 33.4, d = 2.682 Å, rel. 26
2θ 35.3, d = 2.541 Å, rel. 18
2θ 39.1, d = 2.301 Å, rel. 21
2θ 56.4, d = 1.631 Å, rel. 22

***

(6)
This entry pairs a crystal structure of Li4Mn5O12 with its computed powder diffractogram. Radiation: copper Kα. Structure: a DFT-relaxed cell (PBE+U, the Materials Project).
Neutral-atom scattering factors, no anomalous dispersion.

Cell and atoms:
Unit cell a=5.8375 b=5.8375 c=13.0212 alpha=102.78 beta=102.78 gamma=89.80
Sites, in units of the cell vectors:
1 Li 0.0000 0.0000 0.0000
2 Li 0.0000 0.0000 0.5000
3 Li 0.1187 0.8813 0.7500
4 Li 0.2144 0.4597 0.9203
5 Li 0.4597 0.2144 0.4203
6 Li 0.5403 0.7856 0.5797
7 Li 0.7856 0.5403 0.0797
8 Li 0.8813 0.1187 0.2500
9 Mn 0.0000 0.5000 0.5000
10 Mn 0.1668 0.6692 0.3363
11 Mn 0.3310 0.3338 0.1649
12 Mn 0.3308 0.8332 0.1637
13 Mn 0.3338 0.3310 0.6649
14 Mn 0.5000 0.0000 0.0000
15 Mn 0.6662 0.6690 0.3351
16 Mn 0.6692 0.1668 0.8363
17 Mn 0.6690 0.6662 0.8351
18 Mn 0.8332 0.3308 0.6637
19 O 0.0790 0.5530 0.6585
20 O 0.0833 0.1246 0.6688
21 O 0.1161 0.5858 0.1738
22 O 0.1246 0.0833 0.1688
23 O 0.2259 0.7253 0.4865
24 O 0.2367 0.2744 0.5136
25 O 0.2744 0.2367 0.0136
26 O 0.2747 0.7741 0.0135
27 O 0.4120 0.4430 0.3242
28 O 0.4142 0.8839 0.3262
29 O 0.4430 0.4120 0.8242
30 O 0.4470 0.9210 0.8415
31 O 0.5530 0.0790 0.1585
32 O 0.5570 0.5880 0.1758
33 O 0.5858 0.1161 0.6738
34 O 0.5880 0.5570 0.6758
35 O 0.7253 0.2259 0.9865
36 O 0.7256 0.7633 0.9864
37 O 0.7633 0.7256 0.4864
38 O 0.7741 0.2747 0.5135
39 O 0.8754 0.9167 0.8312
40 O 0.8839 0.4142 0.8262
41 O 0.9167 0.8754 0.3312
42 O 0.9210 0.4470 0.3415

Main lines, in order of rising 2θ (10° ≤ 2θ ≤ 90°):
2θ 15.6, d = 5.686 Å, rel. 10
2θ 18.6, d = 4.768 Å, rel. 100
2θ 36.0, d = 2.493 Å, rel. 10
2θ 36.1, d = 2.486 Å, rel. 34
2θ 43.8, d = 2.067 Å, rel. 19
2θ 43.9, d = 2.061 Å, rel. 37
2θ 58.0, d = 1.589 Å, rel. 6
2θ 58.2, d = 1.586 Å, rel. 9
2θ 63.8, d = 1.458 Å, rel. 22
2θ 63.9, d = 1.456 Å, rel. 6

***

(7)
This entry pairs a crystal structure of SrMnPF with its computed powder diffractogram. Radiation: copper Kα. Structure: a DFT-relaxed cell (PBE+U, the Materials Project).
Neutral-atom scattering factors, no anomalous dispersion.

Cell and atoms:
Unit cell a=4.1774 b=4.1774 c=9.1224 alpha=90.00 beta=90.00 gamma=90.00
Sites, in units of the cell vectors:
1 Sr 0.2500 0.2500 0.1525
2 Sr 0.7500 0.7500 0.8475
3 Mn 0.2500 0.7500 0.5000
4 Mn 0.7500 0.2500 0.5000
5 P 0.2500 0.2500 0.6654
6 P 0.7500 0.7500 0.3346
7 F 0.2500 0.7500 0.0000
8 F 0.7500 0.2500 0.0000

Main lines, in order of rising 2θ (10° ≤ 2θ ≤ 90°):
2θ 23.4, d = 3.798 Å, rel. 27
2θ 29.0, d = 3.081 Å, rel. 100
2θ 29.4, d = 3.041 Å, rel. 16
2θ 31.8, d = 2.810 Å, rel. 33
2θ 36.2, d = 2.479 Å, rel. 65
2θ 43.3, d = 2.089 Å, rel. 50
2θ 45.3, d = 2.002 Å, rel. 16
2θ 50.6, d = 1.805 Å, rel. 41
2θ 53.0, d = 1.729 Å, rel. 35
2θ 84.8, d = 1.143 Å, rel. 17